Structure and calculated X-ray diffraction stick pattern of Fe3ClF5 (the GGA+U geometry in Alexandria; λ = 1.5418 Å (Cu Kα)).

Atomic structure:
a b c (Å): 6.7640 22.0489 3.3905
angles (deg): 90.00 90.00 90.00
Space group Cmmm (No. 65)
Symmetry-distinct sites (fractional):
Fe1 0.0000 0.0000 0.0000
Fe2 0.0000 0.1618 0.5000
Fe3 0.0000 0.3151 0.0000
Fe4 0.0000 0.5000 0.5000
Cl1 0.0000 0.3938 0.5000
F1 0.0000 0.0657 0.5000
F2 0.0000 0.2569 0.5000
F3 0.1952 0.1737 0.0000
F4 0.2016 0.5000 0.0000

The 6 most intense peaks (10 to 80 degrees two-theta), low angle first:
| d (Å) | I/Imax | hkl |
| --- | --- | --- |
| 3.675 | 77 | 0 6 0 |
| 3.382 | 100 | 2 0 0 |
| 2.802 | 94 | 1 3 1 |
| 1.905 | 58 | 1 9 1 |
| 1.819 | 56 | 3 3 1 |
| 1.490 | 41 | 3 9 1 |